# 1
This entry pairs a crystal structure of Tl7Sn2Pb3 with its computed X-ray powder pattern. Radiation: Cu Kα (λ = 1.5418 Å). Structure: a GGA-PBE-relaxed structure.

Largest 8 diffraction maxima, low angle first, 10° ≤ 2θ ≤ 80°:
29.27°, intensity 53, hkl 0 0 12
29.98°, intensity 31, hkl 1 1 2
31.16°, intensity 63, hkl 0 1 11
31.44°, intensity 69, hkl 0 2 0
33.09°, intensity 100, hkl 1 1 6
35.60°, intensity 39, hkl 1 1 8
43.49°, intensity 37, hkl 0 2 12
54.38°, intensity 23, hkl 1 1 18

Structure:
```
data_Tl7Sn2Pb3
_cell_length_a 3.564
_cell_length_b 5.690
_cell_length_c 36.615
_cell_angle_alpha 90.00
_cell_angle_beta 90.00
_cell_angle_gamma 90.00
_symmetry_space_group_name_H-M 'I m m m'
_symmetry_Int_Tables_number 71
_symmetry_space_group_name_Hall '-I 2 2'
loop_
_atom_site_label
_atom_site_fract_x
_atom_site_fract_y
_atom_site_fract_z
Tl1 0.000 0.000 0.000
Tl2 0.000 0.000 0.236
Tl3 0.000 0.500 0.088
Tl4 0.000 0.500 0.422
Sn1 0.000 0.000 0.152
Pb1 0.000 0.000 0.327
Pb2 0.000 0.000 0.500
```



# 2
This entry pairs a crystal structure of TlSn2Pb2 with its computed X-ray powder pattern. Radiation: Cu Kα (λ = 1.5418 Å). Structure: a GGA-PBE-relaxed structure.

Largest 8 diffraction maxima, low angle first, 10° ≤ 2θ ≤ 80°:
30.10°, intensity 76, hkl 2 0 1
31.03°, intensity 71, hkl 0 2 -1
32.77°, intensity 58, hkl 1 0 -2
33.20°, intensity 57, hkl 1 0 3
33.53°, intensity 100, hkl 1 2 2
43.49°, intensity 28, hkl 2 2 0
44.06°, intensity 27, hkl 2 -2 2
55.78°, intensity 38, hkl 1 2 -3

Structure:
```
data_TlSn2Pb2
_cell_length_a 5.938
_cell_length_b 6.704
_cell_length_c 8.235
_cell_angle_alpha 81.66
_cell_angle_beta 69.72
_cell_angle_gamma 89.72
_symmetry_space_group_name_H-M 'P -1'
_symmetry_Int_Tables_number 2
loop_
_symmetry_equiv_pos_as_xyz
'x,y,z'
'-x,-y,-z'
loop_
_atom_site_label
_atom_site_fract_x
_atom_site_fract_y
_atom_site_fract_z
Tl1 0.017 0.250 0.499
Sn1 0.192 0.548 0.098
Sn2 0.208 0.047 0.098
Pb1 0.377 0.878 0.723
Pb2 0.400 0.378 0.723
```



# 3
This entry pairs a crystal structure of TlSn4Pb8 with its computed X-ray powder pattern. Radiation: Cu Kα (λ = 1.5418 Å). Structure: a GGA-PBE-relaxed structure.

Largest 8 diffraction maxima, low angle first, 10° ≤ 2θ ≤ 80°:
29.99°, intensity 33, hkl 2 0 -1
30.29°, intensity 47, hkl 2 0 0
31.92°, intensity 50, hkl 0 1 4
32.28°, intensity 79, hkl 1 1 -3
33.26°, intensity 100, hkl 1 0 -7
34.20°, intensity 48, hkl 1 1 3
55.99°, intensity 31, hkl 3 1 2
64.60°, intensity 31, hkl 1 2 -7

Structure:
```
data_TlSn4Pb8
_cell_length_a 5.960
_cell_length_b 3.417
_cell_length_c 19.843
_cell_angle_alpha 90.00
_cell_angle_beta 98.46
_cell_angle_gamma 90.00
_symmetry_space_group_name_H-M 'P 1 m 1'
_symmetry_Int_Tables_number 6
loop_
_symmetry_equiv_pos_as_xyz
'x,y,z'
'x,-y,z'
loop_
_atom_site_label
_atom_site_fract_x
_atom_site_fract_y
_atom_site_fract_z
Tl1 0.000 0.000 0.000
Sn1 0.025 0.500 0.701
Sn2 0.146 0.000 0.298
Sn3 0.528 0.500 0.926
Sn4 0.735 0.000 0.392
Pb1 0.060 0.500 0.151
Pb2 0.070 0.000 0.844
Pb3 0.285 0.500 0.443
Pb4 0.475 0.500 0.615
Pb5 0.534 0.000 0.086
Pb6 0.535 0.000 0.769
Pb7 0.610 0.500 0.246
Pb8 0.938 0.000 0.554
```



# 4
This entry pairs a crystal structure of TlSnPb14 with its computed X-ray powder pattern. Radiation: Cu Kα (λ = 1.5418 Å). Structure: a GGA-PBE-relaxed structure.

Largest 8 diffraction maxima, low angle first, 10° ≤ 2θ ≤ 80°:
30.97°, intensity 100, hkl 2 0 2
35.31°, intensity 36, hkl 2 2 0
37.10°, intensity 16, hkl 0 0 4
50.80°, intensity 13, hkl 4 0 0
52.15°, intensity 24, hkl 2 2 4
60.70°, intensity 31, hkl 4 2 2
63.09°, intensity 14, hkl 2 0 6
64.55°, intensity 13, hkl 4 0 4

Structure:
```
data_TlSnPb14
_cell_length_a 7.189
_cell_length_b 7.189
_cell_length_c 9.694
_cell_angle_alpha 90.00
_cell_angle_beta 90.00
_cell_angle_gamma 90.00
_symmetry_space_group_name_H-M 'P 4/m m m'
_symmetry_Int_Tables_number 123
_symmetry_space_group_name_Hall '-P 4 2'
loop_
_atom_site_label
_atom_site_fract_x
_atom_site_fract_y
_atom_site_fract_z
Tl1 0.000 0.000 0.000
Sn1 0.500 0.500 0.000
Pb1 0.000 0.000 0.500
Pb2 0.000 0.500 0.000
Pb3 0.000 0.500 0.500
Pb4 0.252 0.252 0.248
Pb5 0.500 0.500 0.500
```



# 5
This entry pairs a crystal structure of Tm10SnPb6 with its computed X-ray powder pattern. Radiation: Cu Kα (λ = 1.5418 Å). Structure: a GGA-PBE-relaxed structure.

Largest 8 diffraction maxima, low angle first, 10° ≤ 2θ ≤ 80°:
27.14°, intensity 20, hkl 0 0 2
32.83°, intensity 90, hkl 3 -1 1
33.57°, intensity 100, hkl 1 1 2
33.90°, intensity 70, hkl 3 0 0
43.37°, intensity 24, hkl 3 1 1
48.45°, intensity 23, hkl 4 -2 2
51.68°, intensity 25, hkl 2 1 3
67.07°, intensity 20, hkl 3 0 4

Structure:
```
data_Tm10SnPb6
_cell_length_a 9.1593
_cell_length_b 9.1593
_cell_length_c 6.5718
_cell_angle_alpha 90.00
_cell_angle_beta 90.00
_cell_angle_gamma 120.00
_symmetry_space_group_name_H-M 'P -3 1 m'
_symmetry_Int_Tables_number 162
_symmetry_space_group_name_Hall '-P 3 2'
loop_
_atom_site_label
_atom_site_fract_x
_atom_site_fract_y
_atom_site_fract_z
Tm1 0.0000 0.2597 0.2597
Tm2 0.3333 0.6667 0.0000
Tm3 0.3333 0.6667 0.5000
Sn1 0.0000 0.0000 0.0000
Pb1 0.0000 0.3886 0.7508
```



# 6
This entry pairs a crystal structure of SnPbW2 with its computed X-ray powder pattern. Radiation: Cu Kα (λ = 1.5418 Å). Structure: a GGA-PBE-relaxed structure.

Largest 7 diffraction maxima, low angle first, 10° ≤ 2θ ≤ 80°:
22.85°, intensity 3, hkl 1 1 1
37.75°, intensity 100, hkl 2 2 0
44.58°, intensity 2, hkl 3 1 1
54.45°, intensity 18, hkl 4 0 0
59.81°, intensity 1, hkl 3 3 1
68.15°, intensity 37, hkl 4 2 2
72.92°, intensity 1, hkl 5 1 1

Structure:
```
data_SnPbW2
_cell_length_a 6.741
_cell_length_b 6.741
_cell_length_c 6.741
_cell_angle_alpha 90.00
_cell_angle_beta 90.00
_cell_angle_gamma 90.00
_symmetry_space_group_name_H-M 'F m -3 m'
_symmetry_Int_Tables_number 225
_symmetry_space_group_name_Hall '-F 4 2 3'
loop_
_atom_site_label
_atom_site_fract_x
_atom_site_fract_y
_atom_site_fract_z
Sn1 0.000 0.000 0.000
Pb1 0.000 0.000 0.500
W1 0.250 0.250 0.250
```



# 7
This entry pairs a crystal structure of YSn2Pb2 with its computed X-ray powder pattern. Radiation: Cu Kα (λ = 1.5418 Å). Structure: a GGA-PBE-relaxed structure.

Largest 8 diffraction maxima, low angle first, 10° ≤ 2θ ≤ 80°:
32.17°, intensity 100, hkl 1 5 1
32.72°, intensity 21, hkl 0 10 0
39.44°, intensity 30, hkl 2 0 0
52.15°, intensity 23, hkl 2 10 0
57.00°, intensity 11, hkl 2 0 2
58.05°, intensity 13, hkl 1 15 1
66.91°, intensity 13, hkl 3 5 1
67.05°, intensity 13, hkl 1 5 3

Structure:
```
data_YSn2Pb2
_cell_length_a 4.575
_cell_length_b 27.372
_cell_length_c 4.564
_cell_angle_alpha 90.00
_cell_angle_beta 90.00
_cell_angle_gamma 90.00
_symmetry_space_group_name_H-M 'C m c m'
_symmetry_Int_Tables_number 63
_symmetry_space_group_name_Hall '-C 2c 2'
loop_
_atom_site_label
_atom_site_fract_x
_atom_site_fract_y
_atom_site_fract_z
Y1 0.000 0.161 0.250
Sn1 0.000 0.250 0.750
Sn2 0.000 0.353 0.250
Pb1 0.000 0.058 0.750
Pb2 0.000 0.443 0.750
```



# 8
This entry pairs a crystal structure of Zr6SnPb with its computed X-ray powder pattern. Radiation: Cu Kα (λ = 1.5418 Å). Structure: a GGA-PBE-relaxed structure.

Largest 8 diffraction maxima, low angle first, 10° ≤ 2θ ≤ 80°:
32.29°, intensity 18, hkl 0 2 2
33.21°, intensity 17, hkl 0 0 4
34.45°, intensity 37, hkl 2 0 0
36.73°, intensity 100, hkl 1 2 2
37.54°, intensity 37, hkl 1 0 4
58.75°, intensity 15, hkl 0 2 6
63.20°, intensity 20, hkl 3 2 2
69.91°, intensity 17, hkl 2 2 6

Structure:
```
data_Zr6SnPb
_cell_length_a 5.207
_cell_length_b 6.462
_cell_length_c 10.793
_cell_angle_alpha 90.00
_cell_angle_beta 90.00
_cell_angle_gamma 90.00
_symmetry_space_group_name_H-M 'A m m 2'
_symmetry_Int_Tables_number 38
loop_
_symmetry_equiv_pos_as_xyz
'x,y,z'
'-x,-y,z'
'-x,y,z'
'x,-y,z'
'x,y+1/2,z+1/2'
'-x,-y+1/2,z+1/2'
'-x,y+1/2,z+1/2'
'x,-y+1/2,z+1/2'
loop_
_atom_site_label
_atom_site_fract_x
_atom_site_fract_y
_atom_site_fract_z
Zr1 0.000 0.000 0.000
Zr2 0.000 0.244 0.254
Zr3 0.500 0.000 0.689
Zr4 0.500 0.247 0.433
Sn1 0.500 0.000 0.178
Pb1 0.000 0.000 0.510
```



# 9
This entry pairs a crystal structure of Zr5SnPb3 with its computed X-ray powder pattern. Radiation: Cu Kα (λ = 1.5418 Å). Structure: a GGA-PBE-relaxed structure.

Largest 8 diffraction maxima, low angle first, 10° ≤ 2θ ≤ 80°:
24.76°, intensity 32, hkl 1 1 1
33.99°, intensity 66, hkl 2 1 1
34.68°, intensity 94, hkl 3 0 0
35.91°, intensity 100, hkl 1 1 2
44.71°, intensity 37, hkl 3 1 1
50.78°, intensity 23, hkl 2 2 2
65.51°, intensity 22, hkl 4 2 1
72.60°, intensity 22, hkl 3 0 4

Structure:
```
data_Zr5SnPb3
_cell_length_a 8.9604
_cell_length_b 8.9604
_cell_length_c 6.0283
_cell_angle_alpha 90.00
_cell_angle_beta 90.00
_cell_angle_gamma 120.00
_symmetry_space_group_name_H-M 'P 63/m c m'
_symmetry_Int_Tables_number 193
_symmetry_space_group_name_Hall '-P 6c 2'
loop_
_atom_site_label
_atom_site_fract_x
_atom_site_fract_y
_atom_site_fract_z
Zr1 0.0000 0.2787 0.2500
Zr2 0.3333 0.6667 0.0000
Sn1 0.0000 0.0000 0.0000
Pb1 0.0000 0.3858 0.7500
```



# 10
This entry pairs a crystal structure of Sr5Pb2 with its computed X-ray powder pattern. Radiation: Cu Kα (λ = 1.5418 Å). Structure: a GGA-PBE-relaxed structure.

Largest 8 diffraction maxima, low angle first, 10° ≤ 2θ ≤ 80°:
16.52°, intensity 100, hkl 1 1 1
20.52°, intensity 49, hkl 3 1 -1
29.16°, intensity 46, hkl 6 0 0
29.78°, intensity 38, hkl 5 1 1
30.03°, intensity 52, hkl 4 0 2
30.20°, intensity 75, hkl 4 2 0
31.23°, intensity 52, hkl 0 2 2
34.42°, intensity 73, hkl 6 0 -2

Structure:
```
data_Sr5Pb2
_cell_length_a 18.439
_cell_length_b 7.746
_cell_length_c 8.554
_cell_angle_alpha 90.00
_cell_angle_beta 95.69
_cell_angle_gamma 90.00
_symmetry_space_group_name_H-M 'C 1 2/c 1'
_symmetry_Int_Tables_number 15
loop_
_symmetry_equiv_pos_as_xyz
'x,y,z'
'-x,-y,-z'
'-x,y,-z+1/2'
'x,-y,z+1/2'
'x+1/2,y+1/2,z'
'-x+1/2,-y+1/2,-z'
'-x+1/2,y+1/2,-z+1/2'
'x+1/2,-y+1/2,z+1/2'
loop_
_atom_site_label
_atom_site_fract_x
_atom_site_fract_y
_atom_site_fract_z
Sr1 0.000 0.062 0.250
Sr2 0.090 0.364 0.933
Sr3 0.224 0.054 0.308
Pb1 0.107 0.223 0.558
```



# 11
This entry pairs a crystal structure of Sr4Pb5 with its computed X-ray powder pattern. Radiation: Cu Kα (λ = 1.5418 Å). Structure: a GGA-PBE-relaxed structure.

Largest 8 diffraction maxima, low angle first, 10° ≤ 2θ ≤ 80°:
11.26°, intensity 26, hkl 1 1 0
29.49°, intensity 100, hkl 3 0 1
34.06°, intensity 18, hkl 0 0 2
34.25°, intensity 32, hkl 3 3 0
37.50°, intensity 14, hkl 4 1 1
49.07°, intensity 24, hkl 3 3 2
58.18°, intensity 15, hkl 3 0 3
58.42°, intensity 24, hkl 6 3 1

Structure:
```
data_Sr4Pb5
_cell_length_a 11.109
_cell_length_b 11.109
_cell_length_c 5.264
_cell_angle_alpha 90.00
_cell_angle_beta 90.00
_cell_angle_gamma 90.00
_symmetry_space_group_name_H-M 'I 4/m m m'
_symmetry_Int_Tables_number 139
_symmetry_space_group_name_Hall '-I 4 2'
loop_
_atom_site_label
_atom_site_fract_x
_atom_site_fract_y
_atom_site_fract_z
Sr1 0.000 0.300 0.000
Pb1 0.000 0.000 0.000
Pb2 0.160 0.160 0.500
```



# 12
This entry pairs a crystal structure of Sr5Pb4 with its computed X-ray powder pattern. Radiation: Cu Kα (λ = 1.5418 Å). Structure: a GGA-PBE-relaxed structure.

Largest 8 diffraction maxima, low angle first, 10° ≤ 2θ ≤ 80°:
17.44°, intensity 63, hkl 1 2 1
20.82°, intensity 53, hkl 1 3 1
26.92°, intensity 82, hkl 1 3 2
27.57°, intensity 100, hkl 2 3 1
28.29°, intensity 40, hkl 0 4 2
31.70°, intensity 50, hkl 1 1 3
32.77°, intensity 83, hkl 3 0 1
38.79°, intensity 53, hkl 1 7 1

Structure:
```
data_Sr5Pb4
_cell_length_a 8.595
_cell_length_b 17.515
_cell_length_c 9.099
_cell_angle_alpha 90.00
_cell_angle_beta 90.00
_cell_angle_gamma 90.00
_symmetry_space_group_name_H-M 'P n m a'
_symmetry_Int_Tables_number 62
loop_
_symmetry_equiv_pos_as_xyz
'x,y,z'
'-x,-y,-z'
'-x+1/2,-y,z+1/2'
'x+1/2,y,-z+1/2'
'x+1/2,-y+1/2,-z+1/2'
'-x+1/2,y+1/2,z+1/2'
'-x,y+1/2,-z'
'x,-y+1/2,z'
loop_
_atom_site_label
_atom_site_fract_x
_atom_site_fract_y
_atom_site_fract_z
Sr1 0.013 0.095 0.181
Sr2 0.152 0.750 0.506
Sr3 0.177 0.122 0.670
Pb1 0.024 0.750 0.107
Pb2 0.163 0.541 0.472
Pb3 0.229 0.250 0.362
```